Structure and calculated PXRD pattern of Li3BH6 (a crystal structure in the Materials Project, relaxed with GGA-PBE; Cu Kα).

Structure:
```
Li3BH6
1.0
3.9339 2.2713 2.8494
-3.9339 2.2713 2.8494
0.0000 -4.5425 2.8494
Li B H
6 2 12
Direct
0.0062 0.7683 0.5726
0.2317 0.4274 0.9938
0.4274 0.9938 0.2317
0.5726 0.0062 0.7683
0.7683 0.5726 0.0062
0.9938 0.2317 0.4274
0.0000 0.0000 0.0000
0.5000 0.5000 0.5000
0.0415 0.5604 0.2597
0.2597 0.0415 0.5604
0.2853 0.5476 0.3942
0.3942 0.2853 0.5476
0.4396 0.7403 0.9585
0.4524 0.6058 0.7147
0.5476 0.3941 0.2853
0.5604 0.2597 0.0415
0.6058 0.7147 0.4524
0.7147 0.4524 0.6058
0.7403 0.9585 0.4396
0.9585 0.4396 0.7403
```

Most intense lines, 2θ = 10–90°, sorted by position:
| d (Å) | two_theta | I (rel.) |
| --- | --- | --- |
| 3.934 | 22.60 | 441 |
| 2.664 | 33.64 | 477 |
| 2.466 | 36.44 | 284 |
| 2.206 | 40.91 | 1000 |
| 2.039 | 44.43 | 179 |
| 1.487 | 62.46 | 239 |

Structure and calculated PXRD pattern of Li2B7H7 (a crystal structure in the Materials Project, relaxed with GGA-PBE; Cu Kα).

Structure:
```
Li2B7H7
1.0
3.5761 -4.9515 0.0000
3.5761 4.9515 0.0000
-3.5212 0.0000 4.4439
Li B H
2 7 7
Direct
0.0000 0.0000 0.0000
0.5815 0.4185 0.0000
0.4949 0.1377 0.2114
0.5773 0.4227 0.5000
0.5924 0.1482 0.5557
0.7236 0.0489 0.3212
0.8518 0.4076 0.4443
0.8623 0.5051 0.7886
0.9511 0.2764 0.6788
0.1494 0.2870 0.8504
0.3095 0.0071 0.9515
0.4554 0.0151 0.6159
0.4559 0.5441 0.5000
0.7130 0.8506 0.1496
0.9849 0.5446 0.3841
0.9929 0.6905 0.0485
```

Most intense lines, 2θ = 10–90°, sorted by position:
| d (Å) | two_theta | I (rel.) |
| --- | --- | --- |
| 4.951 | 17.91 | 371 |
| 4.878 | 18.18 | 1000 |
| 4.834 | 18.35 | 968 |
| 4.444 | 19.98 | 104 |
| 3.576 | 24.90 | 136 |
| 3.307 | 26.96 | 105 |

Structure and calculated PXRD pattern of LiB3H3 (a crystal structure in the Materials Project, relaxed with GGA-PBE; Cu Kα).

Structure:
```
LiB3H3
1.0
0.0000 3.9977 3.9977
3.9977 0.0000 3.9977
3.9977 3.9977 0.0000
Li B H
2 6 6
Direct
0.2500 0.2500 0.2500
0.7500 0.7500 0.7500
0.1529 0.1529 0.8471
0.1529 0.8471 0.1529
0.1529 0.8471 0.8471
0.8471 0.1529 0.1529
0.8471 0.1529 0.8471
0.8471 0.8471 0.1529
0.3016 0.3016 0.6984
0.3016 0.6984 0.3016
0.3016 0.6984 0.6984
0.6984 0.3016 0.3016
0.6984 0.3016 0.6984
0.6984 0.6984 0.3016
```

Most intense lines, 2θ = 10–90°, sorted by position:
| d (Å) | two_theta | I (rel.) |
| --- | --- | --- |
| 4.616 | 19.23 | 1000 |
| 3.998 | 22.24 | 373 |
| 2.827 | 31.65 | 84 |
| 2.308 | 39.02 | 175 |
| 1.999 | 45.37 | 89 |
| 1.333 | 70.69 | 124 |